1.
This entry pairs a crystal structure of GdSi2Pt2 with its computed powder diffractogram. Radiation: copper Kα. Structure: a structure optimized by DFT (PBE).
Intensities are scaled so that the largest is 100.

The 6 most intense peaks (10 to 90 degrees two-theta), sorted by position:
Position (°2θ), d (Å), I/Imax, (hkl)
29.72, 3.006, 75, 1 1 0
34.05, 2.633, 100, 1 0 3
42.52, 2.126, 44, 2 0 0
50.16, 1.819, 18, 1 0 5
55.56, 1.654, 50, 2 1 3
61.71, 1.503, 15, 2 2 0

Crystal structure
Cell: 4.2518 4.2518 10.0603 Å, 90.00 90.00 90.00°
Space group I4/mmm (No. 139)
Unique sites:
Gd1 0.0000 0.0000 0.0000 x2
Si1 0.0000 0.5000 0.2500 x4
Pt1 0.0000 0.0000 0.3660 x4


2.
This entry pairs a crystal structure of Bi4O5F2 with its computed powder diffractogram. Radiation: copper Kα. Structure: a structure optimized by DFT (PBE).
Intensities are scaled so that the largest is 100.

The 6 most intense peaks (10 to 90 degrees two-theta), sorted by position:
Position (°2θ), d (Å), I/Imax, (hkl)
20.68, 4.296, 42, 0 1 2
25.52, 3.491, 46, 1 1 -2
26.03, 3.424, 100, 1 1 2
29.19, 3.060, 68, 1 0 -4
30.71, 2.911, 36, 2 0 0
41.95, 2.154, 34, 0 1 6

Crystal structure
Cell: 5.8259 5.4212 14.0904 Å, 90.00 91.90 90.00°
Space group P2_1/c (No. 14)
Unique sites:
Bi1 0.2095 0.2145 0.0464 x4
Bi2 0.2333 0.6136 0.2864 x4
O1 0.0000 0.0000 0.5000 x2
O2 0.0787 0.0096 0.9147 x4
O3 0.1189 0.1961 0.7076 x4
F1 0.4808 0.6447 0.6413 x4


3.
This entry pairs a crystal structure of Ti4Te9I4O with its computed powder diffractogram. Radiation: copper Kα. Structure: a structure optimized by DFT (PBE).
Intensities are scaled so that the largest is 100.

The 6 most intense peaks (10 to 90 degrees two-theta), sorted by position:
Position (°2θ), d (Å), I/Imax, (hkl)
23.45, 3.794, 78, 1 1 3
24.10, 3.693, 100, 5 1 -3
26.63, 3.348, 57, 4 0 -6
27.71, 3.219, 53, 6 0 0
27.86, 3.202, 89, 1 1 4
30.80, 2.903, 82, 7 1 -4

Crystal structure
Cell: 23.0630 6.3299 20.1029 Å, 90.00 123.13 90.00°
Space group C2/c (No. 15)
Unique sites:
Ti1 0.0642 0.0598 0.3605 x8
Ti2 0.0735 0.3310 0.2342 x8
Te1 0.0000 0.3048 0.7500 x4
Te2 0.0294 0.3763 0.4302 x8
Te3 0.0513 0.0159 0.1251 x8
Te4 0.1633 0.3757 0.4012 x8
Te5 0.1687 0.0149 0.3279 x8
I1 0.1427 0.1764 0.9968 x8
I2 0.1628 0.4287 0.7152 x8
O1 0.0000 0.1958 0.2500 x4


4.
This entry pairs a crystal structure of Na3Ce with its computed powder diffractogram. Radiation: copper Kα. Structure: a structure optimized by DFT (PBE).
Intensities are scaled so that the largest is 100.

The 6 most intense peaks (10 to 90 degrees two-theta), sorted by position:
Position (°2θ), d (Å), I/Imax, (hkl)
16.82, 5.270, 82, 1 0 0
23.88, 3.726, 72, 1 1 0
29.35, 3.043, 100, 1 1 1
34.02, 2.635, 51, 2 0 0
38.19, 2.357, 43, 2 1 0
58.05, 1.589, 42, 3 1 1

Crystal structure
Cell: 5.2699 5.2699 5.2699 Å, 90.00 90.00 90.00°
Space group Pm-3m (No. 221)
Unique sites:
Na1 0.0000 0.0000 0.5000 x3
Ce1 0.5000 0.5000 0.5000 x1


5.
This entry pairs a crystal structure of Cs2TlHgBr6 with its computed powder diffractogram. Radiation: copper Kα. Structure: a structure optimized by DFT (PBE).
Intensities are scaled so that the largest is 100.

The 6 most intense peaks (10 to 90 degrees two-theta), sorted by position:
Position (°2θ), d (Å), I/Imax, (hkl)
15.36, 5.769, 36, 2 0 0
21.79, 4.079, 87, 2 2 0
31.00, 2.885, 100, 4 0 0
38.21, 2.355, 42, 4 2 2
44.41, 2.040, 74, 4 4 0
73.40, 1.290, 33, 8 4 0

Crystal structure
Cell: 11.5385 11.5385 11.5385 Å, 90.00 90.00 90.00°
Space group Fm-3m (No. 225)
Unique sites:
Cs1 0.2500 0.2500 0.2500 x8
Tl1 0.0000 0.0000 0.0000 x4
Hg1 0.0000 0.0000 0.5000 x4
Br1 0.0000 0.0000 0.2543 x24


6.
This entry pairs a crystal structure of Ba5Dy8Zn4O21 with its computed powder diffractogram. Radiation: copper Kα. Structure: a structure optimized by DFT (PBE).
Intensities are scaled so that the largest is 100.

The 6 most intense peaks (10 to 90 degrees two-theta), sorted by position:
Position (°2θ), d (Å), I/Imax, (hkl)
27.85, 3.204, 44, 3 2 1
30.73, 2.910, 100, 1 4 1
31.06, 2.879, 41, 0 0 2
35.86, 2.504, 33, 3 4 1
45.84, 1.980, 19, 5 1 2
55.05, 1.668, 19, 1 4 3

Crystal structure
Cell: 13.9034 13.9034 5.7581 Å, 90.00 90.00 90.00°
Space group I4/m (No. 87)
Unique sites:
Ba1 0.0000 0.0000 0.0000 x2
Ba2 0.0349 0.6392 0.5000 x8
Dy1 0.0887 0.1422 0.5000 x8
Dy2 0.1679 0.7527 0.0000 x8
Zn1 0.0406 0.2508 0.0000 x8
O1 0.0000 0.0000 0.5000 x2
O2 0.0373 0.6280 0.0000 x8
O3 0.0478 0.8222 0.2500 x16
O4 0.1483 0.2574 0.2479 x16


7.
This entry pairs a crystal structure of Al2O3 with its computed powder diffractogram. Radiation: copper Kα. Structure: a structure optimized by DFT (PBE).
Intensities are scaled so that the largest is 100.

The 6 most intense peaks (10 to 90 degrees two-theta), sorted by position:
Position (°2θ), d (Å), I/Imax, (hkl)
25.35, 3.514, 59, 0 1 2
34.83, 2.576, 93, 1 0 4
42.96, 2.106, 98, 1 1 3
52.06, 1.757, 49, 0 2 4
56.95, 1.617, 100, 1 1 6
67.53, 1.387, 63, 3 0 0

Crystal structure
Cell: 4.8050 4.8050 13.1163 Å, 90.00 90.00 120.00°
Space group R-3c (No. 167, hexagonal axes)
Unique sites:
Al1 0.0000 0.0000 0.1479 x12
O1 0.0000 0.3061 0.2500 x18


8.
This entry pairs a crystal structure of KGdF4 with its computed powder diffractogram. Radiation: copper Kα. Structure: a structure optimized by DFT (PBE).
Intensities are scaled so that the largest is 100.

The 6 most intense peaks (10 to 90 degrees two-theta), sorted by position:
Position (°2θ), d (Å), I/Imax, (hkl)
11.30, 7.832, 75, 0 0 2
18.19, 4.878, 54, 1 0 2
26.89, 3.316, 64, 1 0 4
28.65, 3.115, 100, 2 0 0
29.63, 3.015, 35, 0 1 3
41.67, 2.167, 49, 2 1 3

Crystal structure
Cell: 6.2352 3.6938 15.6633 Å, 90.00 90.00 90.00°
Space group Pnma (No. 62)
Unique sites:
K1 0.2245 0.2500 0.2009 x4
Gd1 0.2490 0.7500 0.4399 x4
F1 0.0044 0.2500 0.0570 x4
F2 0.0926 0.2500 0.8100 x4
F3 0.1081 0.2500 0.3670 x4
F4 0.1328 0.2500 0.5359 x4


9.
This entry pairs a crystal structure of Na3UF8 with its computed powder diffractogram. Radiation: copper Kα. Structure: a structure optimized by DFT (PBE).
Intensities are scaled so that the largest is 100.

The 6 most intense peaks (10 to 90 degrees two-theta), sorted by position:
Position (°2θ), d (Å), I/Imax, (hkl)
16.15, 5.487, 33, 0 0 2
18.04, 4.917, 100, 1 0 1
28.12, 3.173, 69, 1 1 2
37.47, 2.400, 26, 2 1 1
44.40, 2.040, 28, 2 1 3
46.75, 1.943, 55, 2 2 0

Crystal structure
Cell: 5.5007 5.5007 10.9733 Å, 90.00 90.00 90.00°
Space group I4/mmm (No. 139)
Unique sites:
Na1 0.0000 0.0000 0.0000 x2
Na2 0.0000 0.5000 0.2500 x4
U1 0.0000 0.0000 0.5000 x2
F1 0.2323 0.2323 0.3837 x16


10.
This entry pairs a crystal structure of La2Ti3O9 with its computed powder diffractogram. Radiation: copper Kα. Structure: a structure optimized by DFT (PBE).
Intensities are scaled so that the largest is 100.

The 6 most intense peaks (10 to 90 degrees two-theta), sorted by position:
Position (°2θ), d (Å), I/Imax, (hkl)
27.98, 3.189, 100, -1 1 2
28.12, 3.173, 54, 1 -2 1
28.73, 3.107, 41, 1 2 -2
30.23, 2.956, 32, 2 0 -1
31.36, 2.852, 41, 0 1 -3
39.23, 2.296, 19, 2 2 -1

Crystal structure
Cell: 5.9140 7.9204 9.0121 Å, 108.40 108.24 91.23°
Space group P-1 (No. 2)
Unique sites:
La1 0.1288 0.1927 0.2149 x2
La2 0.1932 0.8192 0.4202 x2
Ti1 0.2334 0.5136 0.0016 x2
Ti2 0.3389 0.4839 0.6609 x2
Ti3 0.4263 0.0757 0.8511 x2
O1 0.0101 0.6753 0.0453 x2
O2 0.1184 0.0114 0.6943 x2
O3 0.1215 0.5214 0.7754 x2
O4 0.1841 0.2810 0.4966 x2
O5 0.2837 0.9968 0.0016 x2
O6 0.3433 0.5387 0.2370 x2
O7 0.3878 0.6787 0.6097 x2
O8 0.4209 0.9750 0.3098 x2
O9 0.4598 0.3246 0.9487 x2